Theoretical powder diffractogram
Compound: NaTi2BiO6
Radiation: Cu Kα, 1.54184 Å
Structure: a GGA-PBE-relaxed structure

Principal peaks in the range 2θ = 10–90°, by angle:
- 18.43 deg, 4.814 Å, rel. 100, hkl 1 1 0
- 19.41 deg, 4.572 Å, rel. 75, hkl 2 0 -1
- 22.74 deg, 3.910 Å, rel. 31, hkl 1 1 -1
- 27.37 deg, 3.258 Å, rel. 89, hkl 1 1 1
- 30.52 deg, 2.929 Å, rel. 60, hkl 3 1 -1
- 36.03 deg, 2.493 Å, rel. 26, hkl 1 1 -2
- 44.19 deg, 2.050 Å, rel. 27, hkl 2 2 1
- 52.02 deg, 1.758 Å, rel. 25, hkl 3 1 -3

Structure:
Unit cell a=10.7956 b=5.4926 c=5.6375 alpha=90.00 beta=112.10 gamma=90.00
Space group C2/m (No. 12)
Inequivalent atoms, fractional coordinates:
Na: 0.0000 0.0000 0.0000 x2
Ti: 0.2316 0.5000 0.1004 x4
Bi: 0.0000 0.5000 0.5000 x2
O: 0.1279 0.2505 0.8509 x8
O: 0.1768 0.5000 0.3533 x4